Record 1
Structure and calculated PXRD pattern of SnPb4 (a cell relaxed with GGA-PBE; a wavelength of 1.5418 Å).

Most intense lines, 10 to 80 degrees two-theta, sorted by position:
2.886 Å, 2θ = 30.99°, I = 33
2.869 Å, 2θ = 31.18°, I = 100
2.488 Å, 2θ = 36.10°, I = 68
1.763 Å, 2θ = 51.85°, I = 24
1.755 Å, 2θ = 52.11°, I = 25
1.505 Å, 2θ = 61.64°, I = 14
1.500 Å, 2θ = 61.87°, I = 29
1.497 Å, 2θ = 61.98°, I = 15

Structure:
Cell lengths 3.5106, 3.5106, 43.2888 Å; angles 90.00, 90.00, 120.00 degrees
Space group R-3m (No. 166, hexagonal axes)
Asymmetric unit:
1 Sn 0.0000 0.0000 0.0000 [3 per cell]
2 Pb 0.0000 0.0000 0.2003 [6 per cell]
3 Pb 0.0000 0.0000 0.3978 [6 per cell]

---

Record 2
Structure and calculated PXRD pattern of Sn3Pb2 (a cell relaxed with GGA-PBE; a wavelength of 1.5418 Å).

Most intense lines, 10 to 80 degrees two-theta, sorted by position:
2.846 Å, 2θ = 31.43°, I = 100
2.799 Å, 2θ = 31.98°, I = 94
2.636 Å, 2θ = 34.01°, I = 41
2.363 Å, 2θ = 38.09°, I = 60
1.759 Å, 2θ = 51.98°, I = 50
1.559 Å, 2θ = 59.26°, I = 17
1.447 Å, 2θ = 64.38°, I = 27
1.428 Å, 2θ = 65.34°, I = 24

Structure:
Cell lengths 3.3814, 5.2716, 16.5120 Å; angles 90.00, 90.00, 90.00 degrees
Space group Immm (No. 71)
Asymmetric unit:
1 Sn 0.0000 0.0000 0.0000 [2 per cell]
2 Sn 0.0000 0.0000 0.1962 [4 per cell]
3 Pb 0.0000 0.0000 0.3957 [4 per cell]

---

Record 3
Structure and calculated PXRD pattern of Sn4Pb3 (a cell relaxed with GGA-PBE; a wavelength of 1.5418 Å).

Most intense lines, 10 to 80 degrees two-theta, sorted by position:
2.907 Å, 2θ = 30.76°, I = 100
2.890 Å, 2θ = 30.94°, I = 99
2.724 Å, 2θ = 32.89°, I = 84
2.697 Å, 2θ = 33.22°, I = 82
2.601 Å, 2θ = 34.48°, I = 76
2.583 Å, 2θ = 34.73°, I = 75
2.168 Å, 2θ = 41.65°, I = 42
1.669 Å, 2θ = 55.01°, I = 39

Structure:
Cell lengths 3.4719, 3.8973, 15.3721 Å; angles 96.91, 95.86, 90.40 degrees
Space group P-1 (No. 2)
Asymmetric unit:
1 Sn 0.0751 0.0731 0.1474 [2 per cell]
2 Sn 0.3659 0.3635 0.7250 [2 per cell]
3 Pb 0.2152 0.2108 0.4213 [2 per cell]
4 Pb 0.5000 0.5000 0.0000 [1 per cell]

---

Record 4
Structure and calculated PXRD pattern of Sn3Pb13 (a cell relaxed with GGA-PBE; a wavelength of 1.5418 Å).

Most intense lines, 10 to 80 degrees two-theta, sorted by position:
2.942 Å, 2θ = 30.38°, I = 62
2.709 Å, 2θ = 33.07°, I = 100
2.080 Å, 2θ = 43.50°, I = 24
1.650 Å, 2θ = 55.71°, I = 46
1.526 Å, 2θ = 60.69°, I = 18
1.355 Å, 2θ = 69.38°, I = 12
1.316 Å, 2θ = 71.74°, I = 11
1.293 Å, 2θ = 73.22°, I = 10

Structure:
Cell lengths 7.1392, 11.7680, 11.7681 Å; angles 90.00, 90.00, 90.00 degrees
Space group Amm2 (No. 38)
Asymmetric unit:
1 Sn 0.0000 0.0000 0.0000 [2 per cell]
2 Sn 0.2338 0.0000 0.2444 [4 per cell]
3 Pb 0.0000 0.0000 0.4963 [2 per cell]
4 Pb 0.0000 0.2488 0.2473 [4 per cell]
5 Pb 0.2446 0.2472 0.9970 [8 per cell]
6 Pb 0.2518 0.0000 0.7505 [4 per cell]
7 Pb 0.5000 0.0000 0.0072 [2 per cell]
8 Pb 0.5000 0.0000 0.4872 [2 per cell]
9 Pb 0.5000 0.2401 0.2474 [4 per cell]

---

Record 5
Structure and calculated PXRD pattern of Sr2Sn2Pb3 (a cell relaxed with GGA-PBE; a wavelength of 1.5418 Å).

Most intense lines, 10 to 80 degrees two-theta, sorted by position:
3.184 Å, 2θ = 28.02°, I = 100
2.955 Å, 2θ = 30.24°, I = 40
2.627 Å, 2θ = 34.13°, I = 58
2.439 Å, 2θ = 36.85°, I = 18
2.342 Å, 2θ = 38.44°, I = 21
2.212 Å, 2θ = 40.80°, I = 18
1.771 Å, 2θ = 51.62°, I = 19
1.748 Å, 2θ = 52.33°, I = 32

Structure:
Cell lengths 4.4236, 22.8556, 4.6839 Å; angles 90.00, 90.00, 90.00 degrees
Space group Cmmm (No. 65)
Asymmetric unit:
1 Sr 0.0000 0.1612 0.0000 [4 per cell]
2 Sn 0.0000 0.2904 0.5000 [4 per cell]
3 Pb 0.0000 0.0000 0.0000 [2 per cell]
4 Pb 0.0000 0.4305 0.5000 [4 per cell]

---

Record 6
Structure and calculated PXRD pattern of Sr5SnPb2 (a cell relaxed with GGA-PBE; a wavelength of 1.5418 Å).

Most intense lines, 10 to 80 degrees two-theta, sorted by position:
8.243 Å, 2θ = 10.73°, I = 33
4.925 Å, 2θ = 18.01°, I = 25
3.172 Å, 2θ = 28.13°, I = 100
2.990 Å, 2θ = 29.89°, I = 24
2.747 Å, 2θ = 32.59°, I = 53
2.512 Å, 2θ = 35.74°, I = 30
2.384 Å, 2θ = 37.73°, I = 17
1.944 Å, 2θ = 46.73°, I = 18

Structure:
Cell lengths 8.6870, 8.6870, 16.4857 Å; angles 90.00, 90.00, 90.00 degrees
Space group I4/mcm (No. 140)
Asymmetric unit:
1 Sr 0.0000 0.0000 0.0000 [4 per cell]
2 Sr 0.1747 0.3253 0.1441 [16 per cell]
3 Sn 0.0000 0.0000 0.2500 [4 per cell]
4 Pb 0.1253 0.3747 0.5000 [8 per cell]

---

Record 7
Structure and calculated PXRD pattern of Sr6SnPb5 (a cell relaxed with GGA-PBE; a wavelength of 1.5418 Å).

Most intense lines, 10 to 80 degrees two-theta, sorted by position:
2.962 Å, 2θ = 30.17°, I = 100
2.654 Å, 2θ = 33.78°, I = 19
2.646 Å, 2θ = 33.88°, I = 18
2.419 Å, 2θ = 37.17°, I = 14
1.786 Å, 2θ = 51.13°, I = 23
1.583 Å, 2θ = 58.27°, I = 16
1.483 Å, 2θ = 62.66°, I = 13
1.480 Å, 2θ = 62.79°, I = 13

Structure:
Cell lengths 6.1250, 7.4762, 9.6772 Å; angles 112.58, 94.62, 90.11 degrees
Space group P-1 (No. 2)
Asymmetric unit:
1 Sr 0.0001 0.2478 0.0000 [2 per cell]
2 Sr 0.3378 0.0837 0.6700 [2 per cell]
3 Sr 0.3377 0.5859 0.6699 [2 per cell]
4 Sn 0.5000 0.0000 0.0000 [1 per cell]
5 Pb 0.1630 0.6682 0.3357 [2 per cell]
6 Pb 0.1649 0.1677 0.3354 [2 per cell]
7 Pb 0.5000 0.5000 0.0000 [1 per cell]

---

Record 8
Structure and calculated PXRD pattern of Sr6SnPb2 (a cell relaxed with GGA-PBE; a wavelength of 1.5418 Å).

Most intense lines, 10 to 80 degrees two-theta, sorted by position:
5.669 Å, 2θ = 15.63°, I = 20
4.624 Å, 2θ = 19.20°, I = 23
3.143 Å, 2θ = 28.39°, I = 82
3.029 Å, 2θ = 29.49°, I = 100
2.831 Å, 2θ = 31.60°, I = 50
2.104 Å, 2θ = 42.99°, I = 22
2.003 Å, 2θ = 45.26°, I = 22
1.670 Å, 2θ = 55.00°, I = 18

Structure:
Cell lengths 11.3272, 11.3470, 5.6597 Å; angles 90.00, 90.00, 90.00 degrees
Space group Pnnm (No. 58)
Asymmetric unit:
1 Sr 0.0434 0.2040 0.0000 [4 per cell]
2 Sr 0.1134 0.6132 0.5000 [4 per cell]
3 Sr 0.2036 0.9562 0.5000 [4 per cell]
4 Sn 0.0000 0.5000 0.0000 [2 per cell]
5 Pb 0.2325 0.2668 0.5000 [4 per cell]